Starting from a DFT-relaxed cell (PBE, Alexandria), the powder XRD pattern of Na2DyCuCl6 was computed for Cu Kα X-rays.
Intensities are scaled so that the largest is 100.

Most intense lines, 2θ = 10–90°, in order of rising 2θ:
14.99°, rel. 18
17.32°, rel. 100
24.59°, rel. 55
28.92°, rel. 15
35.06°, rel. 63
39.36°, rel. 47
43.29°, rel. 25
50.42°, rel. 42
53.72°, rel. 23
84.67°, rel. 17

Crystal structure
a b c (Å): 7.2395 7.2395 7.2395
angles (deg): 60.00 60.00 60.00
Sites, in units of the cell vectors:
Na  0.2500  0.2500  0.2500
Na  0.7500  0.7500  0.7500
Dy  0.0000  0.0000  0.0000
Cu  0.5000  0.5000  0.5000
Cl  0.2554  0.2554  0.7446
Cl  0.2554  0.7446  0.2554
Cl  0.2554  0.7446  0.7446
Cl  0.7446  0.2554  0.2554
Cl  0.7446  0.2554  0.7446
Cl  0.7446  0.7446  0.2554